Entry 1:
# Ho12SnRu6
Simulated X-ray powder pattern, copper Kα. Input: DFT lattice parameters and positions (GGA-PBE).
Peak positions follow from Bragg's law for the DFT cell and can differ from measured ones.

Crystal structure
a = 8.4780 Å, b = 8.4780 Å, c = 8.4780 Å
α = 109.47°, β = 109.47°, γ = 109.47°
Fractional positions:
Ho: 0.1015 0.2956 0.8059
Ho: 0.1941 0.4898 0.2956
Ho: 0.1941 0.8985 0.7044
Ho: 0.2956 0.1941 0.4898
Ho: 0.2956 0.8059 0.1015
Ho: 0.4898 0.2956 0.1941
Ho: 0.5102 0.7044 0.8059
Ho: 0.7044 0.1941 0.8985
Ho: 0.7044 0.8059 0.5102
Ho: 0.8059 0.1015 0.2956
Ho: 0.8059 0.5102 0.7044
Ho: 0.8985 0.7044 0.1941
Sn: 0.0000 0.0000 0.0000
Ru: 0.1247 0.5000 0.6247
Ru: 0.3753 0.8753 0.5000
Ru: 0.5000 0.3753 0.8753
Ru: 0.5000 0.6247 0.1247
Ru: 0.6247 0.1247 0.5000
Ru: 0.8753 0.5000 0.3753

Largest 10 diffraction maxima, sorted by position, 2θ from 10° to 80°:
2θ (°), I_rel
28.84, 17
31.66, 44
34.27, 100
36.72, 22
39.04, 11
47.35, 23
54.67, 25
56.39, 13
58.08, 32
67.68, 20

---

Entry 2:
# BeSbCl
Simulated X-ray powder pattern, copper Kα. Input: DFT lattice parameters and positions (GGA-PBE).
Peak positions follow from Bragg's law for the DFT cell and can differ from measured ones.

Crystal structure
a = 8.5676 Å, b = 8.0776 Å, c = 3.5884 Å
α = 85.33°, β = 70.00°, γ = 24.67°
Fractional positions:
Be: 0.0000 0.0000 0.0000
Sb: 0.6346 0.6346 0.3654
Cl: 0.4145 0.4145 0.5855

Largest 10 diffraction maxima, sorted by position, 2θ from 10° to 80°:
2θ (°), I_rel
11.16, 100
22.42, 58
27.50, 45
29.76, 21
32.74, 68
35.77, 34
36.55, 39
43.30, 45
52.06, 26
59.89, 17

---

Entry 3:
# B5W2
Simulated X-ray powder pattern, copper Kα. Input: DFT lattice parameters and positions (GGA-PBE).
Peak positions follow from Bragg's law for the DFT cell and can differ from measured ones.

Crystal structure
a = 3.1119 Å, b = 3.1119 Å, c = 14.2062 Å
α = 90.00°, β = 90.00°, γ = 120.00°
Fractional positions:
B: 0.0000 0.0000 0.0000
B: 0.0000 0.0000 0.2500
B: 0.0000 0.0000 0.5000
B: 0.0000 0.0000 0.7500
B: 0.3333 0.6667 0.0280
B: 0.3333 0.6667 0.2500
B: 0.3333 0.6667 0.4720
B: 0.6667 0.3333 0.5280
B: 0.6667 0.3333 0.7500
B: 0.6667 0.3333 0.9720
W: 0.3333 0.6667 0.6374
W: 0.3333 0.6667 0.8626
W: 0.6667 0.3333 0.1374
W: 0.6667 0.3333 0.3626

Largest 10 diffraction maxima, sorted by position, 2θ from 10° to 80°:
2θ (°), I_rel
25.07, 62
33.24, 31
33.85, 100
38.43, 37
42.09, 33
46.44, 74
59.40, 30
65.49, 29
68.94, 22
78.57, 16

---

Entry 4:
# Pr7GeSe5
Simulated X-ray powder pattern, copper Kα. Input: DFT lattice parameters and positions (GGA-PBE).
Peak positions follow from Bragg's law for the DFT cell and can differ from measured ones.

Crystal structure
a = 7.2767 Å, b = 7.2767 Å, c = 25.1416 Å
α = 90.03°, β = 90.03°, γ = 33.85°
Fractional positions:
Pr: 0.0000 0.0000 0.0000
Pr: 0.9998 0.9998 0.1377
Pr: 0.1022 0.1022 0.7033
Pr: 0.1030 0.1030 0.4342
Pr: 0.2854 0.2854 0.2035
Pr: 0.2855 0.2855 0.9343
Pr: 0.3880 0.3880 0.6377
Pr: 0.3886 0.3886 0.5001
Pr: 0.5557 0.5557 0.2813
Pr: 0.5555 0.5555 0.8564
Pr: 0.6588 0.6588 0.5688
Pr: 0.7294 0.7294 0.0689
Pr: 0.8324 0.8324 0.7813
Pr: 0.8328 0.8328 0.3565
Ge: 0.0046 0.0046 0.5693
Ge: 0.3837 0.3837 0.0686
Se: 0.1942 0.1942 0.3189
Se: 0.1939 0.1939 0.8188
Se: 0.4704 0.4704 0.3912
Se: 0.4699 0.4699 0.7466
Se: 0.6414 0.6414 0.1747
Se: 0.6415 0.6415 0.9630
Se: 0.7464 0.7464 0.6747
Se: 0.7471 0.7471 0.4631
Se: 0.9181 0.9181 0.2466
Se: 0.9180 0.9180 0.8911

Largest 10 diffraction maxima, sorted by position, 2θ from 10° to 80°:
2θ (°), I_rel
27.95, 77
28.75, 33
29.41, 100
30.49, 65
31.23, 40
39.16, 37
42.30, 30
42.68, 39
42.82, 35
51.79, 28

---

Entry 5:
# Cs3Tl2I5Br2
Simulated X-ray powder pattern, copper Kα. Input: DFT lattice parameters and positions (GGA-PBE).
Peak positions follow from Bragg's law for the DFT cell and can differ from measured ones.

Crystal structure
a = 16.1360 Å, b = 16.1360 Å, c = 16.1360 Å
α = 157.76°, β = 157.76°, γ = 31.65°
Fractional positions:
Cs: 0.0000 0.0000 0.0000
Cs: 0.1851 0.1851 0.0000
Cs: 0.8149 0.8149 0.0000
Tl: 0.3946 0.3946 0.0000
Tl: 0.6054 0.6054 0.0000
I: 0.1009 0.6009 0.5000
I: 0.3991 0.8991 0.5000
I: 0.5000 0.5000 0.0000
I: 0.6009 0.1009 0.5000
I: 0.8991 0.3991 0.5000
Br: 0.2997 0.2997 0.0000
Br: 0.7003 0.7003 0.0000

Largest 10 diffraction maxima, sorted by position, 2θ from 10° to 80°:
2θ (°), I_rel
11.40, 26
14.52, 18
20.19, 50
26.59, 28
28.71, 100
35.35, 21
41.05, 71
50.86, 24
67.29, 23
74.78, 20

---

Entry 6:
# Tb2Mg3Ni2
Simulated X-ray powder pattern, copper Kα. Input: DFT lattice parameters and positions (GGA-PBE).
Peak positions follow from Bragg's law for the DFT cell and can differ from measured ones.

Crystal structure
a = 5.4711 Å, b = 5.4711 Å, c = 7.4796 Å
α = 96.49°, β = 96.49°, γ = 41.64°
Fractional positions:
Tb: 0.1244 0.1244 0.3650
Tb: 0.8756 0.8756 0.6350
Mg: 0.1847 0.1847 0.8543
Mg: 0.5000 0.5000 0.0000
Mg: 0.8153 0.8153 0.1457
Ni: 0.4178 0.4178 0.3631
Ni: 0.5822 0.5822 0.6369

Largest 10 diffraction maxima, sorted by position, 2θ from 10° to 80°:
2θ (°), I_rel
11.92, 100
27.81, 36
33.77, 43
35.15, 25
35.33, 40
36.15, 36
36.30, 16
41.04, 19
44.89, 17
46.71, 17

---

Entry 7:
# La2USb3
Simulated X-ray powder pattern, copper Kα. Input: DFT lattice parameters and positions (GGA-PBE).
Peak positions follow from Bragg's law for the DFT cell and can differ from measured ones.

Crystal structure
a = 10.1543 Å, b = 10.1543 Å, c = 10.1543 Å
α = 154.12°, β = 154.12°, γ = 36.92°
Fractional positions:
La: 0.1672 0.1672 0.0000
La: 0.8328 0.8328 0.0000
U: 0.5000 0.5000 0.0000
Sb: 0.0000 0.0000 0.0000
Sb: 0.3377 0.3377 0.0000
Sb: 0.6623 0.6623 0.0000

Largest 10 diffraction maxima, sorted by position, 2θ from 10° to 80°:
2θ (°), I_rel
20.06, 3
23.98, 5
27.76, 100
29.28, 2
39.66, 77
46.88, 3
49.10, 28
57.34, 13
64.88, 36
71.97, 26

---

Entry 8:
# Li3Cd5Ag3
Simulated X-ray powder pattern, copper Kα. Input: DFT lattice parameters and positions (GGA-PBE).
Peak positions follow from Bragg's law for the DFT cell and can differ from measured ones.

Crystal structure
a = 9.4467 Å, b = 9.4467 Å, c = 2.9238 Å
α = 90.00°, β = 90.00°, γ = 120.00°
Fractional positions:
Li: 0.0000 0.1728 0.0000
Li: 0.1728 0.0000 0.0000
Li: 0.8272 0.8272 0.0000
Cd: 0.0000 0.6737 0.0000
Cd: 0.3263 0.3263 0.0000
Cd: 0.3333 0.6667 0.0000
Cd: 0.6667 0.3333 0.0000
Cd: 0.6737 0.0000 0.0000
Ag: 0.0000 0.4116 0.5000
Ag: 0.4116 0.0000 0.5000
Ag: 0.5884 0.5884 0.5000

Largest 10 diffraction maxima, sorted by position, 2θ from 10° to 80°:
2θ (°), I_rel
10.81, 82
28.87, 31
32.84, 100
36.13, 95
37.82, 33
39.72, 35
45.48, 30
49.62, 22
67.58, 22
73.50, 18

---

Entry 9:
# Dy2CuNi2
Simulated X-ray powder pattern, copper Kα. Input: DFT lattice parameters and positions (GGA-PBE).
Peak positions follow from Bragg's law for the DFT cell and can differ from measured ones.

Crystal structure
a = 5.2788 Å, b = 5.2788 Å, c = 7.6855 Å
α = 102.49°, β = 102.49°, γ = 59.89°
Fractional positions:
Dy: 0.0081 0.2901 0.1494
Dy: 0.2901 0.0081 0.6494
Dy: 0.7099 0.9919 0.3506
Dy: 0.9919 0.7099 0.8506
Cu: 0.3478 0.6522 0.2500
Cu: 0.6522 0.3478 0.7500
Ni: 0.2300 0.5009 0.4970
Ni: 0.4991 0.7700 0.0030
Ni: 0.5009 0.2300 0.9970
Ni: 0.7700 0.4991 0.5030

Largest 10 diffraction maxima, sorted by position, 2θ from 10° to 80°:
2θ (°), I_rel
27.18, 57
33.05, 51
34.27, 61
35.16, 63
36.16, 97
39.11, 100
39.43, 47
40.11, 71
43.22, 49
71.59, 45

---

Entry 10:
# Sm2BiS5
Simulated X-ray powder pattern, copper Kα. Input: DFT lattice parameters and positions (GGA-PBE).
Peak positions follow from Bragg's law for the DFT cell and can differ from measured ones.

Crystal structure
a = 7.4234 Å, b = 7.4234 Å, c = 13.3471 Å
α = 90.00°, β = 90.00°, γ = 137.34°
Fractional positions:
Sm: 0.1569 0.8431 0.5682
Sm: 0.1569 0.8431 0.9318
Sm: 0.8431 0.1569 0.0682
Sm: 0.8431 0.1569 0.4318
Bi: 0.1671 0.8329 0.2500
Bi: 0.8329 0.1671 0.7500
S: 0.0402 0.9598 0.1010
S: 0.0402 0.9598 0.3990
S: 0.2687 0.7313 0.7500
S: 0.2974 0.7026 0.0846
S: 0.2974 0.7026 0.4154
S: 0.7026 0.2974 0.5846
S: 0.7026 0.2974 0.9154
S: 0.7313 0.2687 0.2500
S: 0.9598 0.0402 0.6010
S: 0.9598 0.0402 0.8990

Largest 10 diffraction maxima, sorted by position, 2θ from 10° to 80°:
2θ (°), I_rel
12.80, 63
17.63, 94
23.78, 100
25.40, 59
26.75, 65
32.81, 57
33.18, 46
41.23, 48
41.94, 65
47.35, 40